No. 1
CsF8: theoretical powder XRD pattern (a wavelength of 1.5418 Å), based on a GGA-PBE-relaxed structure.
No peak broadening, texture or thermal motion is included.

Peak list (8 most intense, 2θ = 10–90°, most intense first)
15.13°, intensity 100, (0 1 1)
22.21°, intensity 88, (0 2 0)
20.68°, intensity 81, (0 0 2)
28.72°, intensity 80, (1 1 2)
35.41°, intensity 78, (1 0 3)
32.87°, intensity 70, (2 0 0)
30.53°, intensity 56, (0 2 2)
37.53°, intensity 55, (1 3 0)

Crystal structure
abc: 5.4496 8.0039 8.5896
angles: 90.00 90.00 90.00
Space group Immm (No. 71)
Unique sites:
Cs 0.0000 0.0000 0.0000 [2 per cell]
F 0.0000 0.0000 0.4172 [4 per cell]
F 0.0000 0.3822 0.3562 [8 per cell]
F 0.0000 0.4114 0.0000 [4 per cell]

=====

No. 2
KIn4Hg8: theoretical powder XRD pattern (a wavelength of 1.5418 Å), based on a GGA-PBE-relaxed structure.
No peak broadening, texture or thermal motion is included.

Peak list (8 most intense, 2θ = 10–90°, most intense first)
33.27°, intensity 100, (3 2 1)
36.89°, intensity 82, (2 2 2)
37.37°, intensity 69, (4 1 1)
32.74°, intensity 44, (2 0 2)
33.44°, intensity 43, (4 0 0)
37.53°, intensity 42, (4 2 0)
28.66°, intensity 38, (3 0 1)
28.05°, intensity 31, (0 0 2)

Crystal structure
abc: 10.7171 10.7171 6.3631
angles: 90.00 90.00 90.00
Space group I4/mmm (No. 139)
Unique sites:
K 0.0000 0.0000 0.0000 [2 per cell]
In 0.2500 0.2500 0.2500 [8 per cell]
Hg 0.0000 0.2139 0.5000 [8 per cell]
Hg 0.0000 0.3543 0.0000 [8 per cell]

=====

No. 3
AlCrMo: theoretical powder XRD pattern (a wavelength of 1.5418 Å), based on a GGA-PBE-relaxed structure.
No peak broadening, texture or thermal motion is included.

Peak list (8 most intense, 2θ = 10–90°, most intense first)
42.29°, intensity 100, (1 0 3)
41.11°, intensity 57, (1 1 0)
20.10°, intensity 35, (0 0 2)
75.72°, intensity 33, (2 1 3)
30.51°, intensity 25, (1 0 1)
59.54°, intensity 18, (2 0 0)
46.17°, intensity 15, (1 1 2)
78.14°, intensity 13, (1 1 6)

Crystal structure
abc: 3.1053 3.1053 8.8370
angles: 90.00 90.00 90.00
Space group I4mm (No. 107)
Unique sites:
Al 0.0000 0.0000 0.0000 [2 per cell]
Cr 0.0000 0.0000 0.3258 [2 per cell]
Mo 0.0000 0.0000 0.6859 [2 per cell]

=====

No. 4
Ac6Ni2Sn: theoretical powder XRD pattern (a wavelength of 1.5418 Å), based on a GGA-PBE-relaxed structure.
No peak broadening, texture or thermal motion is included.

Peak list (8 most intense, 2θ = 10–90°, most intense first)
28.93°, intensity 100, (2 2 2)
30.45°, intensity 62, (1 3 2)
25.51°, intensity 47, (0 3 1)
31.03°, intensity 44, (2 1 3)
27.97°, intensity 40, (3 1 0)
31.25°, intensity 34, (2 3 1)
49.57°, intensity 33, (3 5 0)
54.79°, intensity 32, (5 3 2)

Crystal structure
abc: 9.9959 11.0298 11.1705
angles: 90.00 90.00 90.00
Space group Immm (No. 71)
Unique sites:
Ac 0.0000 0.2003 0.2235 [8 per cell]
Ac 0.1886 0.5000 0.1726 [8 per cell]
Ac 0.2035 0.3223 0.5000 [8 per cell]
Ni 0.0000 0.3667 0.0000 [4 per cell]
Ni 0.0000 0.5000 0.3820 [4 per cell]
Sn 0.0000 0.0000 0.0000 [2 per cell]
Sn 0.0000 0.0000 0.5000 [2 per cell]